For TbNpPbO6, a DFT-relaxed cell (GGA-PBE, Alexandria) gives the simulated powder diffractogram in this record (Cu Kα X-rays).
No peak broadening, texture or thermal motion is included.

Structural model:
Cell: 5.8846 5.8846 10.0759 Å, 90.00 90.00 120.00°
Space group P-31c (No. 163)
Inequivalent atoms, fractional coordinates:
Tb 0.3333 0.6667 0.2500
Np 0.3333 0.6667 0.7500
Pb 0.0000 0.0000 0.0000
O 0.0321 0.3842 0.6426

Top 8 peaks for 10° ≤ 2θ ≤ 90°, low angle first:
24.85°, I 100, (1 0 2)
30.38°, I 56, (1 1 0)
39.64°, I 29, (2 0 2)
47.52°, I 45, (1 1 4)
50.74°, I 30, (2 1 2)
53.98°, I 17, (3 0 0)
66.37°, I 12, (3 0 4)
69.01°, I 12, (4 -1 2)

For NaCdIn2Hg8, a DFT-relaxed cell (GGA-PBE, Alexandria) gives the simulated powder diffractogram in this record (Cu Kα X-rays).
No peak broadening, texture or thermal motion is included.

Structural model:
Cell: 5.2726 6.1719 10.5939 Å, 88.04 85.67 64.76°
Space group P-1 (No. 2)
Inequivalent atoms, fractional coordinates:
Na 0.0000 0.0000 0.0000
Cd 0.0000 0.0000 0.5000
In 0.4659 0.0001 0.2476
Hg 0.1323 0.6701 0.2543
Hg 0.1969 0.6718 0.7455
Hg 0.3271 0.3458 0.9995
Hg 0.3348 0.3303 0.5003

Top 8 peaks for 10° ≤ 2θ ≤ 90°, low angle first:
33.38°, I 100, (1 2 2)
33.95°, I 49, (0 0 4)
34.11°, I 44, (2 1 0)
34.70°, I 89, (-1 1 2)
46.89°, I 21, (2 1 4)
48.95°, I 17, (0 3 0)
59.53°, I 20, (1 2 6)
60.99°, I 25, (0 3 -4)

For CsBa4Nb3O12, a DFT-relaxed cell (GGA-PBE, Alexandria) gives the simulated powder diffractogram in this record (Cu Kα X-rays).
No peak broadening, texture or thermal motion is included.

Structural model:
Cell: 8.7705 8.7705 8.7705 Å, 90.00 90.00 90.00°
Space group Im-3m (No. 229)
Inequivalent atoms, fractional coordinates:
Cs 0.0000 0.0000 0.0000
Ba 0.2500 0.2500 0.2500
Nb 0.0000 0.0000 0.5000
O 0.0000 0.0000 0.2866
O 0.0000 0.2500 0.5000

Top 8 peaks for 10° ≤ 2θ ≤ 90°, low angle first:
28.79°, I 100, (2 2 0)
35.46°, I 4, (2 2 2)
41.17°, I 30, (4 0 0)
51.01°, I 40, (4 2 2)
59.63°, I 19, (4 4 0)
67.55°, I 19, (6 2 0)
75.03°, I 6, (4 4 4)
82.26°, I 21, (6 4 2)

For Li3Dy2Cd4, a DFT-relaxed cell (GGA-PBE, Alexandria) gives the simulated powder diffractogram in this record (Cu Kα X-rays).
No peak broadening, texture or thermal motion is included.

Structural model:
Cell: 5.9475 15.9439 8.3814 Å, 90.00 90.00 90.00°
Space group Cmce (No. 64)
Inequivalent atoms, fractional coordinates:
Li 0.0000 0.0000 0.0000
Li 0.2500 0.2237 0.2500
Dy 0.0000 0.1110 0.5900
Cd 0.0000 0.1813 0.9716
Cd 0.2500 0.0542 0.2500

Top 8 peaks for 10° ≤ 2θ ≤ 90°, low angle first:
22.30°, I 20, (0 4 0)
23.99°, I 35, (0 2 2)
31.04°, I 45, (1 3 2)
33.64°, I 76, (1 5 1)
33.96°, I 100, (0 2 3)
37.07°, I 51, (2 0 2)
37.74°, I 21, (2 4 0)
39.32°, I 19, (2 4 1)

For CeHoGaIr, a DFT-relaxed cell (GGA-PBE, Alexandria) gives the simulated powder diffractogram in this record (Cu Kα X-rays).
No peak broadening, texture or thermal motion is included.

Structural model:
Cell: 4.4276 4.1492 9.9619 Å, 90.00 90.00 90.00°
Space group Amm2 (No. 38)
Inequivalent atoms, fractional coordinates:
Ce 0.0000 0.0000 0.0000
Ho 0.5000 0.0000 0.2861
Ga 0.5000 0.0000 0.5788
Ir 0.0000 0.0000 0.7274

Top 8 peaks for 10° ≤ 2θ ≤ 90°, low angle first:
30.87°, I 100, (1 1 1)
34.60°, I 26, (0 1 3)
36.06°, I 17, (0 0 4)
40.31°, I 52, (1 1 3)
40.76°, I 26, (2 0 0)
41.61°, I 22, (1 0 4)
43.63°, I 22, (0 2 0)
61.23°, I 16, (2 2 0)

For Ba8Li13GaSb12, a DFT-relaxed cell (GGA-PBE, Alexandria) gives the simulated powder diffractogram in this record (Cu Kα X-rays).
No peak broadening, texture or thermal motion is included.

Structural model:
Cell: 18.3009 4.9777 21.2397 Å, 90.00 97.02 90.00°
Space group Cm (No. 8)
Inequivalent atoms, fractional coordinates:
Ba 0.0000 0.0000 0.0000
Ba 0.9996 0.5000 0.4968
Ba 0.2681 0.5000 0.9162
Ba 0.2709 0.0000 0.4097
Ba 0.3162 0.5000 0.1284
Ba 0.3195 0.0000 0.6253
Ba 0.4549 0.0000 0.2829
Ba 0.4561 0.5000 0.7869
Li 0.0003 0.5000 0.1144
Li 0.0729 0.0000 0.4061
Li 0.0750 0.5000 0.9111
Li 0.1265 0.0000 0.2817
Li 0.1269 0.5000 0.7865
Li 0.1325 0.0000 0.7117
Li 0.1351 0.5000 0.1997
Li 0.1446 0.0000 0.1286
Li 0.1941 0.0000 0.0021
Li 0.1996 0.5000 0.5019
Li 0.2663 0.5000 0.2960
Li 0.2681 0.0000 0.7972
Li 0.4959 0.5000 0.6143
Ga 0.1461 0.5000 0.6290
Sb 0.0099 0.0000 0.1822
Sb 0.0145 0.5000 0.6814
Sb 0.1341 0.5000 0.3695
Sb 0.1347 0.0000 0.8611
Sb 0.1359 0.5000 0.0473
Sb 0.1368 0.0000 0.5553
Sb 0.2605 0.0000 0.2295
Sb 0.2608 0.5000 0.7255
Sb 0.3615 0.0000 0.0174
Sb 0.3626 0.5000 0.5183
Sb 0.4064 0.0000 0.8916
Sb 0.4086 0.5000 0.3932

Top 8 peaks for 10° ≤ 2θ ≤ 90°, low angle first:
22.08°, I 59, (1 1 -3)
23.84°, I 45, (3 1 1)
27.29°, I 45, (3 1 3)
27.71°, I 79, (1 1 -5)
30.22°, I 61, (3 1 -5)
30.34°, I 100, (5 1 -1)
32.72°, I 51, (3 1 5)
36.09°, I 64, (0 2 0)

For Cs2AuI7, a DFT-relaxed cell (GGA-PBE, Alexandria) gives the simulated powder diffractogram in this record (Cu Kα X-rays).
No peak broadening, texture or thermal motion is included.

Structural model:
Cell: 8.8295 8.8295 12.7477 Å, 90.00 90.00 90.00°
Space group I4/mmm (No. 139)
Inequivalent atoms, fractional coordinates:
Cs 0.0000 0.5000 0.2500
Au 0.0000 0.0000 0.0000
I 0.0000 0.0000 0.2692
I 0.0000 0.0000 0.5000
I 0.2162 0.2162 0.0000

Top 8 peaks for 10° ≤ 2θ ≤ 90°, low angle first:
14.19°, I 38, (1 1 0)
19.91°, I 40, (1 1 2)
24.53°, I 78, (2 0 2)
28.00°, I 58, (0 0 4)
28.59°, I 100, (2 2 0)
40.45°, I 74, (2 2 4)
40.88°, I 33, (4 0 0)
50.28°, I 34, (4 0 4)

For PmMnGe2, a DFT-relaxed cell (GGA-PBE, Alexandria) gives the simulated powder diffractogram in this record (Cu Kα X-rays).
No peak broadening, texture or thermal motion is included.

Structural model:
Cell: 7.4546 4.0614 10.2768 Å, 90.00 90.00 90.00°
Space group Pnma (No. 62)
Inequivalent atoms, fractional coordinates:
Pm 0.1386 0.2500 0.1327
Mn 0.0178 0.7500 0.3966
Ge 0.1569 0.2500 0.8071
Ge 0.2155 0.2500 0.4403

Top 8 peaks for 10° ≤ 2θ ≤ 90°, low angle first:
30.51°, I 53, (1 1 2)
32.61°, I 100, (2 1 0)
34.24°, I 31, (0 1 3)
35.60°, I 37, (2 0 3)
36.36°, I 88, (1 1 3)
42.18°, I 36, (2 1 3)
44.62°, I 48, (0 2 0)
45.07°, I 32, (3 0 3)

For Pm6DyHo2Sc, a DFT-relaxed cell (GGA-PBE, Alexandria) gives the simulated powder diffractogram in this record (Cu Kα X-rays).
No peak broadening, texture or thermal motion is included.

Structural model:
Cell: 9.2163 15.1976 9.4065 Å, 90.00 96.59 90.00°
Space group C2/c (No. 15)
Inequivalent atoms, fractional coordinates:
Pm 0.0562 0.1778 0.4482
Pm 0.0988 0.3890 0.6133
Pm 0.2229 0.2174 0.8059
Dy 0.0000 0.0260 0.7500
Ho 0.2458 0.4506 0.9521
Sc 0.0000 0.4195 0.2500

Top 8 peaks for 10° ≤ 2θ ≤ 90°, low angle first:
28.24°, I 38, (2 2 -2)
28.52°, I 62, (1 3 2)
30.32°, I 72, (3 1 -1)
31.02°, I 100, (0 2 3)
31.19°, I 79, (2 2 2)
31.38°, I 48, (2 4 -1)
32.14°, I 34, (1 5 -1)
34.25°, I 38, (1 3 -3)

For TbPm3Ho3, a DFT-relaxed cell (GGA-PBE, Alexandria) gives the simulated powder diffractogram in this record (Cu Kα X-rays).
No peak broadening, texture or thermal motion is included.

Structural model:
Cell: 9.6229 9.6229 5.7405 Å, 90.00 90.00 120.00°
Space group P6_3/m (No. 176)
Inequivalent atoms, fractional coordinates:
Tb 0.3333 0.6667 0.2500
Pm 0.0491 0.2417 0.2500
Ho 0.0951 0.4781 0.7500

Top 8 peaks for 10° ≤ 2θ ≤ 90°, low angle first:
28.33°, I 24, (2 1 0)
31.16°, I 25, (0 0 2)
32.42°, I 100, (2 1 1)
42.62°, I 16, (2 1 2)
50.16°, I 20, (1 4 0)
56.25°, I 21, (2 1 3)
60.24°, I 23, (1 4 2)
61.01°, I 16, (4 2 1)

For Cs2W2I, a DFT-relaxed cell (GGA-PBE, Alexandria) gives the simulated powder diffractogram in this record (Cu Kα X-rays).
No peak broadening, texture or thermal motion is included.

Structural model:
Cell: 7.3141 7.3141 8.8811 Å, 90.00 90.00 90.00°
Space group I4/mmm (No. 139)
Inequivalent atoms, fractional coordinates:
Cs 0.0000 0.5000 0.2500
W 0.0000 0.0000 0.1188
I 0.0000 0.0000 0.5000

Top 8 peaks for 10° ≤ 2θ ≤ 90°, low angle first:
17.15°, I 21, (1 1 0)
24.34°, I 100, (2 0 0)
26.46°, I 50, (1 1 2)
32.63°, I 21, (1 0 3)
34.69°, I 40, (2 2 0)
41.13°, I 22, (2 1 3)
44.15°, I 25, (3 1 2)
56.25°, I 20, (4 2 0)

For SmHo4Tm, a DFT-relaxed cell (GGA-PBE, Alexandria) gives the simulated powder diffractogram in this record (Cu Kα X-rays).
No peak broadening, texture or thermal motion is included.

Structural model:
Cell: 3.5472 18.4122 11.4451 Å, 90.00 90.00 90.00°
Space group Cmc2_1 (No. 36)
Inequivalent atoms, fractional coordinates:
Sm 0.0000 0.1668 0.0000
Ho 0.0000 0.0555 0.2501
Ho 0.0000 0.1663 0.4987
Ho 0.0000 0.3888 0.2493
Ho 0.0000 0.4993 0.0003
Tm 0.0000 0.2779 0.7495

Top 8 peaks for 10° ≤ 2θ ≤ 90°, low angle first:
30.13°, I 30, (1 3 1)
30.15°, I 15, (0 6 1)
31.26°, I 35, (0 0 4)
33.11°, I 100, (1 3 2)
37.60°, I 25, (0 6 3)
51.56°, I 26, (2 0 0)
61.54°, I 31, (2 0 4)
62.66°, I 16, (0 12 2)